LiV6O7F5: theoretical X-ray diffraction stick pattern (Cu Ka), based on a cell relaxed with PBE+U.
Peak positions follow from Bragg's law for the DFT cell and can differ from measured ones.

Peak list (10 most intense, 2θ = 10–90°, low angle first)
| 2theta | I_rel |
| --- | --- |
| 25.94 | 99.7 |
| 26.55 | 100.0 |
| 34.47 | 45.6 |
| 34.55 | 27.0 |
| 34.80 | 25.6 |
| 51.60 | 17.5 |
| 51.91 | 29.6 |
| 53.33 | 18.1 |
| 54.68 | 19.3 |
| 60.01 | 22.4 |

```
data_LiV6O7F5
_chemical_formula_sum 'Li1 V6 O7 F5'
_cell_length_a 4.852
_cell_length_b 5.688
_cell_length_c 7.758
_cell_angle_alpha 85.45
_cell_angle_beta 89.14
_cell_angle_gamma 88.93
_symmetry_space_group_name_H-M 'P 1'
_symmetry_Int_Tables_number 1
_symmetry_space_group_name_Hall 'P 1'
loop_
_atom_site_label
_atom_site_fract_x
_atom_site_fract_y
_atom_site_fract_z
_atom_site_occupancy
Li1 0.000 0.000 0.000 1
V1 0.048 0.286 0.258 1
V2 0.457 0.770 0.232 1
V3 0.502 0.099 0.898 1
V4 0.530 0.422 0.564 1
V5 0.989 0.944 0.565 1
V6 0.994 0.577 0.896 1
O1 0.182 0.288 0.006 1
O2 0.196 0.962 0.341 1
O3 0.304 0.800 0.997 1
O4 0.324 0.470 0.344 1
O5 0.688 0.391 0.802 1
O6 0.818 0.235 0.470 1
O7 0.820 0.892 0.804 1
F1 0.199 0.627 0.658 1
F2 0.310 0.128 0.663 1
F3 0.697 0.737 0.464 1
F4 0.699 0.072 0.138 1
F5 0.811 0.583 0.143 1
```